[1]
Simulated PXRD pattern of Li2Ac5Ge5 for Cu Kα (weighted mean of Kα1 and Kα2), from a cell relaxed with GGA-PBE.

Main lines, in order of rising 2θ (2θ from 5° to 70°):
Position (°2θ), d_spacing, Rel. int.
20.93, 4.245, 45
22.28, 3.990, 29
23.81, 3.737, 39
26.07, 3.418, 42
29.61, 3.017, 100
31.08, 2.877, 56
31.82, 2.812, 64
34.51, 2.599, 32
36.92, 2.435, 66
39.84, 2.263, 35

```
Li2Ac5Ge5
1.0
8.149 -2.263 0.000
8.149 2.263 0.000
-8.068 0.000 9.196
Li Ac Ge
2 5 5
Direct
0.146 0.146 0.255
0.854 0.854 0.745
0.313 0.313 0.185
0.399 0.399 0.584
0.500 0.500 0.000
0.601 0.601 0.416
0.687 0.687 0.815
0.000 0.000 0.500
0.068 0.068 0.878
0.243 0.243 0.668
0.757 0.757 0.332
0.932 0.932 0.122
```


[2]
Simulated PXRD pattern of Li2Ac3Ge9 for Cu Kα (weighted mean of Kα1 and Kα2), from a cell relaxed with GGA-PBE.

Main lines, in order of rising 2θ (2θ from 5° to 70°):
Position (°2θ), d_spacing, Rel. int.
21.08, 4.215, 28
21.94, 4.052, 31
28.05, 3.181, 55
32.11, 2.787, 40
32.25, 2.776, 83
32.84, 2.727, 34
32.98, 2.716, 100
39.09, 2.304, 43
60.71, 1.526, 28
64.24, 1.450, 27

```
Li2Ac3Ge9
1.0
-2.304 5.216 6.596
2.304 -5.216 6.596
2.304 5.216 -6.596
Li Ac Ge
2 3 9
Direct
0.197 0.000 0.197
0.803 0.000 0.803
0.196 0.196 0.000
0.500 0.500 0.000
0.804 0.804 0.000
0.000 0.500 0.500
0.082 0.362 0.720
0.190 0.842 0.348
0.358 0.638 0.720
0.495 0.842 0.652
0.505 0.158 0.348
0.642 0.362 0.280
0.810 0.158 0.652
0.918 0.638 0.280
```